Record 1
Computed powder X-ray diffraction pattern of GdHoSi4Ir2 for copper Kα, from DFT lattice parameters and positions (PBE).

Cell and atoms:
Lattice parameters (Å, degrees): 2.967 14.421 14.421 15.76 90.00 90.00
Element x y z (fractional)
Gd: 0.000 0.000 0.000
Ho: 0.000 0.693 0.693
Si: 0.000 0.120 0.120
Si: 0.000 0.575 0.575
Si: 0.000 0.804 0.804
Si: 0.000 0.888 0.888
Ir: 0.000 0.264 0.264
Ir: 0.000 0.428 0.428

Most intense lines, 2θ = 5–70°, low angle first:
| two_theta | I_rel |
| --- | --- |
| 6.2 | 21.8 |
| 12.4 | 100.0 |
| 24.4 | 24.2 |
| 27.4 | 31.1 |
| 30.1 | 75.0 |
| 31.5 | 86.4 |
| 32.7 | 21.5 |
| 44.1 | 68.7 |
| 45.9 | 23.5 |
| 55.9 | 26.3 |

---

Record 2
Computed powder X-ray diffraction pattern of CsRbPdCl4 for copper Kα, from DFT lattice parameters and positions (PBE).

Cell and atoms:
Lattice parameters (Å, degrees): 4.440 7.212 7.550 90.00 90.00 90.00
Element x y z (fractional)
Cs: 0.000 0.000 0.000
Rb: 0.000 0.500 0.500
Pd: 0.500 0.000 0.500
Cl: 0.500 0.231 0.283
Cl: 0.500 0.231 0.717
Cl: 0.500 0.769 0.283
Cl: 0.500 0.769 0.717

Most intense lines, 2θ = 5–70°, low angle first:
| two_theta | I_rel |
| --- | --- |
| 12.3 | 40.0 |
| 23.2 | 21.1 |
| 26.4 | 100.0 |
| 31.1 | 17.5 |
| 32.0 | 17.2 |
| 34.4 | 46.8 |
| 40.6 | 15.3 |
| 43.2 | 23.8 |
| 44.5 | 21.8 |
| 54.3 | 24.3 |

---

Record 3
Computed powder X-ray diffraction pattern of Nb2Sn3W4N3 for copper Kα, from DFT lattice parameters and positions (PBE).

Cell and atoms:
Lattice parameters (Å, degrees): 5.672 5.672 13.561 102.14 102.14 60.01
Element x y z (fractional)
Nb: 0.029 0.858 0.585
Nb: 0.142 0.971 0.915
Nb: 0.858 0.029 0.085
Nb: 0.971 0.142 0.415
Sn: 0.084 0.261 0.750
Sn: 0.261 0.084 0.250
Sn: 0.431 0.569 0.750
Sn: 0.569 0.431 0.250
Sn: 0.739 0.916 0.750
Sn: 0.916 0.739 0.250
W: 0.191 0.363 0.078
W: 0.310 0.470 0.423
W: 0.363 0.191 0.578
W: 0.470 0.310 0.923
W: 0.530 0.690 0.077
W: 0.637 0.809 0.422
W: 0.690 0.530 0.577
W: 0.809 0.637 0.922
N: 0.000 0.500 0.500
N: 0.169 0.664 0.001
N: 0.336 0.831 0.499
N: 0.500 0.000 0.000
N: 0.664 0.169 0.501
N: 0.831 0.336 0.999

Most intense lines, 2θ = 5–70°, low angle first:
| two_theta | I_rel |
| --- | --- |
| 13.5 | 5.9 |
| 18.2 | 4.0 |
| 31.5 | 23.7 |
| 37.8 | 100.0 |
| 41.2 | 16.2 |
| 52.8 | 9.3 |
| 52.8 | 4.6 |
| 56.2 | 22.4 |
| 65.9 | 3.0 |
| 69.7 | 16.7 |

---

Record 4
Computed powder X-ray diffraction pattern of AuN for copper Kα, from DFT lattice parameters and positions (PBE).

Cell and atoms:
Lattice parameters (Å, degrees): 3.509 3.509 3.509 60.00 60.00 60.00
Element x y z (fractional)
Au: 0.000 0.000 0.000
N: 0.750 0.750 0.750

Most intense lines, 2θ = 5–70°, low angle first:
| two_theta | I_rel |
| --- | --- |
| 31.2 | 100.0 |
| 36.2 | 44.1 |
| 52.1 | 40.4 |
| 62.0 | 43.4 |
| 65.1 | 11.3 |

---

Record 5
Computed powder X-ray diffraction pattern of Na3SmDy2Pb3 for copper Kα, from DFT lattice parameters and positions (PBE).

Cell and atoms:
Lattice parameters (Å, degrees): 5.214 5.214 10.557 90.00 90.00 120.00
Element x y z (fractional)
Na: 0.000 0.000 0.000
Na: 0.333 0.667 0.315
Na: 0.333 0.667 0.685
Sm: 0.667 0.333 0.500
Dy: 0.667 0.333 0.165
Dy: 0.667 0.333 0.835
Pb: 0.000 0.000 0.338
Pb: 0.000 0.000 0.662
Pb: 0.333 0.667 0.000

Most intense lines, 2θ = 5–70°, low angle first:
| two_theta | I_rel |
| --- | --- |
| 19.7 | 10.1 |
| 21.4 | 41.8 |
| 26.0 | 20.3 |
| 32.3 | 100.0 |
| 34.4 | 82.8 |
| 39.6 | 11.4 |
| 47.9 | 33.6 |
| 60.3 | 33.9 |
| 61.6 | 15.6 |
| 63.8 | 27.2 |